CoP2O7: simulated X-ray powder pattern (a wavelength of 1.5418 Å), based on a crystal structure in Alexandria, relaxed with PBE+U.

Crystal structure
a = 4.981 Å, b = 8.298 Å, c = 6.949 Å
α = 90.00°, β = 105.80°, γ = 90.00°
Positions (direct):
Co 0.217 0.000 0.228
Co 0.783 0.500 0.772
P 0.257 0.738 0.613
P 0.368 0.314 0.999
P 0.632 0.814 0.001
P 0.743 0.238 0.387
O 0.017 0.672 0.687
O 0.125 0.434 0.963
O 0.161 0.837 0.425
O 0.273 0.141 0.006
O 0.438 0.860 0.781
O 0.450 0.596 0.593
O 0.469 0.837 0.155
O 0.531 0.337 0.845
O 0.550 0.096 0.407
O 0.562 0.360 0.219
O 0.727 0.641 0.994
O 0.839 0.337 0.575
O 0.875 0.934 0.037
O 0.983 0.172 0.313

Main lines, low angle first (15° ≤ 2θ ≤ 90°):
(hkl)	Position (°2θ)	intensity
0 1 1	17.0	100
1 1 0	21.4	29
1 1 -1	22.4	36
0 2 1	25.3	9
1 1 1	27.8	23
0 1 2	28.8	8
1 2 -1	29.2	45
1 1 -2	30.1	18
0 2 2	34.5	10
1 3 -2	43.4	8